No. 1
The following is a theoretical X-ray diffraction stick pattern of CsBaNiCl6. It was derived from a DFT-relaxed cell (PBE, Alexandria), using Cu Kα (λ = 1.5418 Å).
Kinematic intensities with the Lorentz-polarization factor, no thermal factor.

Main lines, in order of rising 2θ (2θ from 15° to 90°):
2θ (°)	d [Å]	intensity	hkl
24.25	3.671	70	1 1 0
25.85	3.447	92	0 2 -1
30.23	2.957	49	2 0 0
31.00	2.885	97	0 2 0
32.85	2.726	42	2 0 -2
34.13	2.627	59	0 0 2
37.31	2.410	100	2 2 -2
49.68	1.835	33	2 2 0

Structure:
Cell lengths 6.760, 6.904, 6.927 Å; angles 119.88, 114.81, 90.05 degrees
Space group P1 (No. 1)
Inequivalent atoms, fractional coordinates:
Cs1 0.000 0.000 0.000 (multiplicity 1)
Ba1 0.459 0.472 0.943 (multiplicity 1)
Ni1 0.261 0.746 0.492 (multiplicity 1)
Cl1 0.000 0.509 0.017 (multiplicity 1)
Cl2 0.045 0.996 0.524 (multiplicity 1)
Cl3 0.046 0.527 0.523 (multiplicity 1)
Cl4 0.481 0.501 0.457 (multiplicity 1)
Cl5 0.481 0.958 0.459 (multiplicity 1)
Cl6 0.493 0.980 0.961 (multiplicity 1)

=====

No. 2
The following is a theoretical X-ray diffraction stick pattern of Cs2BaNpCl8. It was derived from a DFT-relaxed cell (PBE, Alexandria), using Cu Kα (λ = 1.5418 Å).
Kinematic intensities with the Lorentz-polarization factor, no thermal factor.

Main lines, in order of rising 2θ (2θ from 15° to 90°):
2θ (°)	d [Å]	intensity	hkl
17.80	4.984	70	1 0 -1
20.83	4.264	58	1 0 1
21.17	4.197	100	0 2 1
24.17	3.682	25	1 2 0
31.02	2.883	79	1 2 -2
32.17	2.782	30	2 0 0
34.72	2.584	43	1 2 2
37.20	2.417	28	2 2 -1

Structure:
Cell lengths 5.642, 9.824, 8.190 Å; angles 90.00, 99.53, 90.00 degrees
Space group P2/m (No. 10)
Inequivalent atoms, fractional coordinates:
Cs1 0.000 0.247 0.000 (multiplicity 2)
Ba1 0.500 0.500 0.500 (multiplicity 1)
Np1 0.500 0.000 0.500 (multiplicity 1)
Cl1 0.003 0.500 0.278 (multiplicity 2)
Cl2 0.085 0.000 0.311 (multiplicity 2)
Cl3 0.426 0.207 0.696 (multiplicity 4)

=====

No. 3
The following is a theoretical X-ray diffraction stick pattern of Cs2BaPCl6. It was derived from a DFT-relaxed cell (PBE, Alexandria), using Cu Kα (λ = 1.5418 Å).
Kinematic intensities with the Lorentz-polarization factor, no thermal factor.

Main lines, in order of rising 2θ (2θ from 15° to 90°):
2θ (°)	d [Å]	intensity	hkl
21.34	4.164	100	1 1 2
23.17	3.838	42	2 0 0
26.99	3.304	42	2 0 2
27.49	3.245	43	0 0 4
33.01	2.714	51	2 2 0
36.25	2.478	25	2 0 4
39.64	2.274	37	3 1 2
43.47	2.082	44	2 2 4

Structure:
Cell lengths 7.676, 7.676, 12.979 Å; angles 90.00, 90.00, 90.00 degrees
Space group I4/mmm (No. 139)
Inequivalent atoms, fractional coordinates:
Cs1 0.000 0.500 0.250 (multiplicity 4)
Ba1 0.000 0.000 0.000 (multiplicity 2)
P1 0.000 0.000 0.500 (multiplicity 2)
Cl1 0.000 0.000 0.231 (multiplicity 4)
Cl2 0.221 0.221 0.500 (multiplicity 8)

=====

No. 4
The following is a theoretical X-ray diffraction stick pattern of CsRb2BaCl6. It was derived from a DFT-relaxed cell (PBE, Alexandria), using Cu Kα (λ = 1.5418 Å).
Kinematic intensities with the Lorentz-polarization factor, no thermal factor.

Main lines, in order of rising 2θ (2θ from 15° to 90°):
2θ (°)	d [Å]	intensity	hkl
20.15	4.407	100	2 2 0
28.65	3.116	70	4 0 0
35.27	2.544	49	4 2 2
40.96	2.204	50	4 4 0
46.05	1.971	24	6 2 0
50.74	1.799	17	4 4 4
55.14	1.666	28	6 4 2
67.17	1.394	21	8 4 0

Structure:
Cell lengths 12.465, 12.465, 12.465 Å; angles 90.00, 90.00, 90.00 degrees
Space group Fm-3m (No. 225)
Inequivalent atoms, fractional coordinates:
Cs1 0.000 0.000 0.000 (multiplicity 4)
Rb1 0.250 0.250 0.250 (multiplicity 8)
Ba1 0.000 0.000 0.500 (multiplicity 4)
Cl1 0.000 0.000 0.260 (multiplicity 24)

=====

No. 5
The following is a theoretical X-ray diffraction stick pattern of CsBaSCl. It was derived from a DFT-relaxed cell (PBE, Alexandria), using Cu Kα (λ = 1.5418 Å).
Kinematic intensities with the Lorentz-polarization factor, no thermal factor.

Main lines, in order of rising 2θ (2θ from 15° to 90°):
2θ (°)	d [Å]	intensity	hkl
21.42	4.148	24	0 0 6
22.31	3.984	55	1 0 1
23.17	3.839	26	0 1 2
26.32	3.386	30	1 0 4
28.47	3.135	100	0 1 5
33.59	2.668	26	1 0 7
38.64	2.330	48	1 1 0
44.60	2.032	22	1 1 6

Structure:
Cell lengths 4.6606, 4.6606, 24.8902 Å; angles 90.00, 90.00, 120.00 degrees
Space group R3m (No. 160, hexagonal axes)
Inequivalent atoms, fractional coordinates:
Cs1 0.0000 0.0000 0.0000 (multiplicity 3)
Ba1 0.0000 0.0000 0.8182 (multiplicity 3)
S1 0.0000 0.0000 0.4242 (multiplicity 3)
Cl1 0.0000 0.0000 0.2309 (multiplicity 3)

=====

No. 6
The following is a theoretical X-ray diffraction stick pattern of CsBa2SnS4Cl. It was derived from a DFT-relaxed cell (PBE, Alexandria), using Cu Kα (λ = 1.5418 Å).
Kinematic intensities with the Lorentz-polarization factor, no thermal factor.

Main lines, in order of rising 2θ (2θ from 15° to 90°):
2θ (°)	d [Å]	intensity	hkl
22.25	3.996	49	2 0 -2
22.64	3.927	76	2 0 2
23.10	3.850	100	0 1 3
24.70	3.604	42	2 1 2
27.36	3.260	83	2 2 -1
27.51	3.242	76	2 2 1
29.68	3.010	84	0 1 4
35.53	2.527	61	4 0 0

Structure:
Cell lengths 10.109, 9.004, 12.780 Å; angles 90.00, 90.96, 90.00 degrees
Space group P2_1/c (No. 14)
Inequivalent atoms, fractional coordinates:
Cs1 0.024 0.088 0.327 (multiplicity 4)
Ba1 0.248 0.602 0.478 (multiplicity 4)
Ba2 0.480 0.095 0.321 (multiplicity 4)
Sn1 0.259 0.188 0.598 (multiplicity 4)
S1 0.063 0.174 0.057 (multiplicity 4)
S2 0.285 0.127 0.782 (multiplicity 4)
S3 0.286 0.536 0.998 (multiplicity 4)
S4 0.445 0.155 0.062 (multiplicity 4)
Cl1 0.285 0.670 0.723 (multiplicity 4)